For MgNiTe, a structure optimized by DFT (GGA-PBE) gives the calculated powder X-ray diffraction pattern in this record (Cu Kα X-rays).

Top 8 peaks for 5 to 70 degrees two-theta, in order of falling intensity:
index, 2θ/deg, d [Å], I_rel
1 0 -1, 21.93, 4.053, 100
1 1 2, 42.94, 2.106, 52
1 1 0, 27.96, 3.191, 45
1 1 -2, 40.10, 2.248, 37
2 1 1, 46.17, 1.966, 34
0 2 0, 43.90, 2.062, 31
0 1 1, 26.31, 3.388, 29
0 1 2, 37.32, 2.410, 28

```
data_MgNiTe
_cell_length_a 5.063
_cell_length_b 4.125
_cell_length_c 5.970
_cell_angle_alpha 90.00
_cell_angle_beta 95.93
_cell_angle_gamma 90.00
_space_group_name_H-M_alt 'P 1 21/m 1'
_space_group_IT_number 11
_space_group_name_Hall '-P 2yb'
loop_
_atom_site_label
_atom_site_type_symbol
_atom_site_fract_x
_atom_site_fract_y
_atom_site_fract_z
Mg1 Mg 0.169 0.250 0.212
Ni1 Ni 0.370 0.750 0.945
Te1 Te 0.251 0.250 0.715
```

=====

For ThMgNi2, a structure optimized by DFT (GGA-PBE) gives the calculated powder X-ray diffraction pattern in this record (Cu Kα X-rays).

Top 8 peaks for 5 to 70 degrees two-theta, in order of falling intensity:
index, 2θ/deg, d [Å], I_rel
1 1 1, 33.76, 2.655, 100
1 1 3, 42.85, 2.110, 55
0 0 2, 18.03, 4.919, 51
0 1 3, 36.26, 2.478, 35
1 0 0, 22.07, 4.028, 35
0 1 1, 25.23, 3.530, 34
1 0 4, 43.09, 2.099, 29
2 0 0, 45.02, 2.014, 20

```
data_ThMgNi2
_cell_length_a 4.028
_cell_length_b 3.782
_cell_length_c 9.838
_cell_angle_alpha 90.00
_cell_angle_beta 90.00
_cell_angle_gamma 90.00
_space_group_name_H-M_alt 'A m m 2'
_space_group_IT_number 38
_space_group_name_Hall 'A 2 -2'
loop_
_atom_site_label
_atom_site_type_symbol
_atom_site_fract_x
_atom_site_fract_y
_atom_site_fract_z
Th1 Th 0.000 0.000 0.000
Mg1 Mg 0.500 0.000 0.715
Ni1 Ni 0.000 0.000 0.278
Ni2 Ni 0.500 0.000 0.427
```

=====

For ThMg2Ni9, a structure optimized by DFT (GGA-PBE) gives the calculated powder X-ray diffraction pattern in this record (Cu Kα X-rays).

Top 8 peaks for 5 to 70 degrees two-theta, in order of falling intensity:
index, 2θ/deg, d [Å], I_rel
1 1 6, 43.51, 2.080, 100
0 0 3, 11.17, 7.923, 52
1 0 4, 25.85, 3.447, 30
0 2 1, 42.92, 2.107, 26
0 0 9, 33.88, 2.646, 22
1 1 0, 36.79, 2.443, 22
0 0 12, 45.81, 1.981, 22
1 1 3, 38.57, 2.334, 20

```
data_ThMg2Ni9
_cell_length_a 4.8857
_cell_length_b 4.8857
_cell_length_c 23.7697
_cell_angle_alpha 90.00
_cell_angle_beta 90.00
_cell_angle_gamma 120.00
_space_group_name_H-M_alt 'R -3 m'
_space_group_IT_number 166
_space_group_name_Hall '-R 3 2"'
loop_
_atom_site_label
_atom_site_type_symbol
_atom_site_fract_x
_atom_site_fract_y
_atom_site_fract_z
Th1 Th 0.0000 0.0000 0.0000
Mg1 Mg 0.0000 0.0000 0.1452
Ni1 Ni 0.0000 0.0000 0.3337
Ni2 Ni 0.0000 0.0000 0.5000
Ni3 Ni 0.0024 0.5012 0.9146
```